No. 1
Diffraction record for Nb3Ga4Cu. The XRD peak list is calculated, not measured: it uses a DFT-relaxed cell (PBE, Alexandria) and Cu Kα, 1.54184 Å.

Most intense lines, 15° ≤ 2θ ≤ 90°, sorted by position:
| hkl | Position (°2θ) | d [Å] | intensity |
| --- | --- | --- | --- |
| 3 0 1 | 34.8 | 2.575 | 10 |
| 0 2 1 | 36.8 | 2.442 | 42 |
| 2 0 2 | 39.8 | 2.262 | 77 |
| 4 0 0 | 40.7 | 2.214 | 39 |
| 2 2 1 | 42.3 | 2.138 | 100 |
| 4 2 1 | 56.1 | 1.641 | 20 |
| 0 2 3 | 62.8 | 1.480 | 16 |
| 6 2 1 | 75.2 | 1.263 | 11 |
| 4 2 3 | 77.6 | 1.230 | 17 |
| 2 4 2 | 81.8 | 1.177 | 14 |

Structural model:
```
data_Nb3Ga4Cu
_chemical_formula_sum 'Nb6 Ga8 Cu2'
_cell_length_a 8.858
_cell_length_b 5.513
_cell_length_c 5.263
_cell_angle_alpha 90.00
_cell_angle_beta 90.00
_cell_angle_gamma 90.00
_space_group_name_H-M_alt 'P m n 21'
_space_group_IT_number 31
loop_
_space_group_symop_operation_xyz
'x,y,z'
'-x+1/2,-y,z+1/2'
'-x,y,z'
'x+1/2,-y,z+1/2'
loop_
_atom_site_label
_atom_site_type_symbol
_atom_site_fract_x
_atom_site_fract_y
_atom_site_fract_z
Nb1 Nb 0.000 0.114 0.000
Nb2 Nb 0.213 0.630 0.267
Ga1 Ga 0.000 0.592 0.892
Ga2 Ga 0.000 0.918 0.496
Ga3 Ga 0.248 0.864 0.787
Cu1 Cu 0.000 0.355 0.501
```



No. 2
Diffraction record for NbGaCuOs. The XRD peak list is calculated, not measured: it uses a DFT-relaxed cell (PBE, Alexandria) and Cu Kα, 1.54184 Å.

Most intense lines, 15° ≤ 2θ ≤ 90°, sorted by position:
| hkl | Position (°2θ) | d [Å] | intensity |
| --- | --- | --- | --- |
| 1 1 1 | 24.8 | 3.588 | 19 |
| 2 0 0 | 28.7 | 3.108 | 5 |
| 2 2 0 | 41.1 | 2.197 | 100 |
| 3 1 1 | 48.6 | 1.874 | 10 |
| 4 0 0 | 59.5 | 1.554 | 16 |
| 3 3 1 | 65.5 | 1.426 | 4 |
| 4 2 0 | 67.4 | 1.390 | 2 |
| 4 2 2 | 74.8 | 1.269 | 33 |
| 5 1 1 | 80.3 | 1.196 | 3 |
| 4 4 0 | 89.1 | 1.099 | 11 |

Structural model:
```
data_NbGaCuOs
_chemical_formula_sum 'Nb4 Ga4 Cu4 Os4'
_cell_length_a 6.215
_cell_length_b 6.215
_cell_length_c 6.215
_cell_angle_alpha 90.00
_cell_angle_beta 90.00
_cell_angle_gamma 90.00
_space_group_name_H-M_alt 'F -4 3 m'
_space_group_IT_number 216
_space_group_name_Hall 'F -4 2 3'
loop_
_atom_site_label
_atom_site_type_symbol
_atom_site_fract_x
_atom_site_fract_y
_atom_site_fract_z
Nb1 Nb 0.000 0.000 0.000
Ga1 Ga 0.000 0.000 0.500
Cu1 Cu 0.250 0.250 0.750
Os1 Os 0.250 0.250 0.250
```



No. 3
Diffraction record for Nd3Ga2Cu2. The XRD peak list is calculated, not measured: it uses a DFT-relaxed cell (PBE, Alexandria) and Cu Kα, 1.54184 Å.

Most intense lines, 15° ≤ 2θ ≤ 90°, sorted by position:
| hkl | Position (°2θ) | d [Å] | intensity |
| --- | --- | --- | --- |
| 0 2 3 | 29.6 | 3.018 | 48 |
| 2 1 0 | 32.8 | 2.734 | 80 |
| 1 1 4 | 32.9 | 2.723 | 67 |
| 1 2 3 | 33.5 | 2.677 | 87 |
| 0 2 4 | 34.7 | 2.588 | 46 |
| 1 3 0 | 36.2 | 2.481 | 87 |
| 2 1 3 | 38.7 | 2.327 | 100 |
| 0 0 6 | 40.7 | 2.218 | 34 |
| 1 4 0 | 46.8 | 1.940 | 31 |
| 1 3 6 | 55.6 | 1.654 | 27 |

Structural model:
```
data_Nd3Ga2Cu2
_chemical_formula_sum 'Nd12 Ga8 Cu8'
_cell_length_a 5.797
_cell_length_b 8.234
_cell_length_c 13.308
_cell_angle_alpha 90.00
_cell_angle_beta 90.00
_cell_angle_gamma 90.00
_space_group_name_H-M_alt 'P b c m'
_space_group_IT_number 57
loop_
_space_group_symop_operation_xyz
'x,y,z'
'-x,-y,-z'
'-x,-y,z+1/2'
'x,y,-z+1/2'
'x,-y+1/2,-z'
'-x,y+1/2,z'
'-x,y+1/2,-z+1/2'
'x,-y+1/2,z+1/2'
loop_
_atom_site_label
_atom_site_type_symbol
_atom_site_fract_x
_atom_site_fract_y
_atom_site_fract_z
Nd1 Nd 0.132 0.108 0.103
Nd2 Nd 0.361 0.749 0.250
Ga1 Ga 0.156 0.102 0.750
Ga2 Ga 0.345 0.750 0.000
Cu1 Cu 0.386 0.036 0.589
```



No. 4
Diffraction record for Nd2Ga7Cu. The XRD peak list is calculated, not measured: it uses a DFT-relaxed cell (PBE, Alexandria) and Cu Kα, 1.54184 Å.

Most intense lines, 15° ≤ 2θ ≤ 90°, sorted by position:
| hkl | Position (°2θ) | d [Å] | intensity |
| --- | --- | --- | --- |
| 1 1 0 | 29.4 | 3.039 | 17 |
| 1 0 3 | 32.8 | 2.727 | 62 |
| 1 1 2 | 34.0 | 2.635 | 100 |
| 2 0 0 | 42.1 | 2.149 | 57 |
| 1 0 5 | 47.9 | 1.899 | 29 |
| 2 1 3 | 54.4 | 1.688 | 29 |
| 2 2 0 | 61.0 | 1.519 | 18 |
| 2 1 5 | 65.6 | 1.423 | 22 |
| 3 1 2 | 71.7 | 1.316 | 24 |
| 2 0 8 | 86.4 | 1.127 | 12 |

Structural model:
```
data_Nd2Ga7Cu
_chemical_formula_sum 'Nd2 Ga7 Cu1'
_cell_length_a 4.297
_cell_length_b 4.297
_cell_length_c 10.584
_cell_angle_alpha 90.00
_cell_angle_beta 90.00
_cell_angle_gamma 90.00
_space_group_name_H-M_alt 'P -4 m 2'
_space_group_IT_number 115
loop_
_space_group_symop_operation_xyz
'x,y,z'
'y,-x,-z'
'-x,-y,z'
'-y,x,-z'
'-x,y,z'
'-y,-x,-z'
'x,-y,z'
'y,x,-z'
loop_
_atom_site_label
_atom_site_type_symbol
_atom_site_fract_x
_atom_site_fract_y
_atom_site_fract_z
Nd1 Nd 0.000 0.500 0.243
Ga1 Ga 0.000 0.000 0.000
Ga2 Ga 0.000 0.000 0.500
Ga3 Ga 0.000 0.500 0.640
Ga4 Ga 0.000 0.500 0.873
Ga5 Ga 0.500 0.500 0.500
Cu1 Cu 0.500 0.500 0.000
```



No. 5
Diffraction record for Nd3Ga4Cu2. The XRD peak list is calculated, not measured: it uses a DFT-relaxed cell (PBE, Alexandria) and Cu Kα, 1.54184 Å.

Most intense lines, 15° ≤ 2θ ≤ 90°, sorted by position:
| hkl | Position (°2θ) | d [Å] | intensity |
| --- | --- | --- | --- |
| 1 1 -1 | 23.2 | 3.828 | 29 |
| 3 1 -1 | 32.4 | 2.767 | 28 |
| 1 1 2 | 32.6 | 2.743 | 100 |
| 0 0 3 | 32.8 | 2.733 | 52 |
| 3 1 0 | 33.0 | 2.714 | 92 |
| 4 0 -1 | 33.5 | 2.677 | 32 |
| 0 2 0 | 40.6 | 2.223 | 58 |
| 3 1 -3 | 41.3 | 2.185 | 84 |
| 0 2 3 | 53.1 | 1.725 | 32 |
| 4 2 -1 | 53.6 | 1.709 | 25 |

Structural model:
```
data_Nd3Ga4Cu2
_chemical_formula_sum 'Nd6 Ga8 Cu4'
_cell_length_a 10.715
_cell_length_b 4.446
_cell_length_c 8.545
_cell_angle_alpha 90.00
_cell_angle_beta 106.34
_cell_angle_gamma 90.00
_space_group_name_H-M_alt 'C 1 2/m 1'
_space_group_IT_number 12
loop_
_space_group_symop_operation_xyz
'x,y,z'
'-x,-y,-z'
'-x,y,-z'
'x,-y,z'
'x+1/2,y+1/2,z'
'-x+1/2,-y+1/2,-z'
'-x+1/2,y+1/2,-z'
'x+1/2,-y+1/2,z'
loop_
_atom_site_label
_atom_site_type_symbol
_atom_site_fract_x
_atom_site_fract_y
_atom_site_fract_z
Nd1 Nd 0.000 0.000 0.000
Nd2 Nd 0.139 0.500 0.683
Ga1 Ga 0.093 0.000 0.412
Ga2 Ga 0.221 0.500 0.067
Cu1 Cu 0.159 0.500 0.327
```



No. 6
Diffraction record for Nd2Ga5Cu3. The XRD peak list is calculated, not measured: it uses a DFT-relaxed cell (PBE, Alexandria) and Cu Kα, 1.54184 Å.

Most intense lines, 15° ≤ 2θ ≤ 90°, sorted by position:
| hkl | Position (°2θ) | d [Å] | intensity |
| --- | --- | --- | --- |
| 1 1 0 | 29.9 | 2.985 | 19 |
| 1 0 3 | 33.5 | 2.677 | 73 |
| 1 1 2 | 34.7 | 2.588 | 100 |
| 2 0 0 | 42.8 | 2.111 | 60 |
| 1 0 5 | 48.9 | 1.864 | 28 |
| 2 1 3 | 55.4 | 1.658 | 34 |
| 1 1 6 | 62.0 | 1.498 | 14 |
| 2 2 0 | 62.2 | 1.492 | 19 |
| 2 1 5 | 67.0 | 1.397 | 22 |
| 3 1 2 | 73.2 | 1.293 | 24 |

Structural model:
```
data_Nd2Ga5Cu3
_chemical_formula_sum 'Nd2 Ga5 Cu3'
_cell_length_a 4.221
_cell_length_b 4.221
_cell_length_c 10.388
_cell_angle_alpha 90.00
_cell_angle_beta 90.00
_cell_angle_gamma 90.00
_space_group_name_H-M_alt 'P -4 m 2'
_space_group_IT_number 115
loop_
_space_group_symop_operation_xyz
'x,y,z'
'y,-x,-z'
'-x,-y,z'
'-y,x,-z'
'-x,y,z'
'-y,-x,-z'
'x,-y,z'
'y,x,-z'
loop_
_atom_site_label
_atom_site_type_symbol
_atom_site_fract_x
_atom_site_fract_y
_atom_site_fract_z
Nd1 Nd 0.000 0.500 0.243
Ga1 Ga 0.000 0.000 0.500
Ga2 Ga 0.000 0.500 0.638
Ga3 Ga 0.000 0.500 0.879
Cu1 Cu 0.000 0.000 0.000
Cu2 Cu 0.500 0.500 0.000
Cu3 Cu 0.500 0.500 0.500
```



No. 7
Diffraction record for Nd2Ga4Cu5. The XRD peak list is calculated, not measured: it uses a DFT-relaxed cell (PBE, Alexandria) and Cu Kα, 1.54184 Å.

Most intense lines, 15° ≤ 2θ ≤ 90°, sorted by position:
| hkl | Position (°2θ) | d [Å] | intensity |
| --- | --- | --- | --- |
| 1 1 3 | 25.9 | 3.439 | 22 |
| 0 2 4 | 30.6 | 2.920 | 28 |
| 1 3 1 | 32.9 | 2.720 | 32 |
| 1 3 3 | 37.3 | 2.410 | 100 |
| 2 0 4 | 40.6 | 2.222 | 54 |
| 1 3 5 | 44.9 | 2.017 | 20 |
| 0 0 8 | 49.4 | 1.843 | 22 |
| 1 3 7 | 54.8 | 1.676 | 16 |
| 3 3 3 | 60.7 | 1.525 | 16 |
| 0 6 4 | 63.6 | 1.463 | 22 |

Structural model:
```
data_Nd2Ga4Cu5
_chemical_formula_sum 'Nd8 Ga16 Cu20'
_cell_length_a 5.569
_cell_length_b 9.567
_cell_length_c 14.746
_cell_angle_alpha 90.00
_cell_angle_beta 90.00
_cell_angle_gamma 90.00
_space_group_name_H-M_alt 'F m m m'
_space_group_IT_number 69
_space_group_name_Hall '-F 2 2'
loop_
_atom_site_label
_atom_site_type_symbol
_atom_site_fract_x
_atom_site_fract_y
_atom_site_fract_z
Nd1 Nd 0.000 0.000 0.139
Ga1 Ga 0.000 0.154 0.370
Cu1 Cu 0.000 0.000 0.500
Cu2 Cu 0.250 0.250 0.000
Cu3 Cu 0.250 0.250 0.250
```



No. 8
Diffraction record for NdGa12Cu7. The XRD peak list is calculated, not measured: it uses a DFT-relaxed cell (PBE, Alexandria) and Cu Kα, 1.54184 Å.

Most intense lines, 15° ≤ 2θ ≤ 90°, sorted by position:
| hkl | Position (°2θ) | d [Å] | intensity |
| --- | --- | --- | --- |
| 2 1 1 | 24.1 | 3.696 | 37 |
| 2 2 0 | 27.9 | 3.201 | 43 |
| 3 0 1 | 31.2 | 2.863 | 67 |
| 2 2 2 | 34.3 | 2.613 | 25 |
| 3 1 2 | 37.2 | 2.419 | 42 |
| 4 0 0 | 39.8 | 2.263 | 66 |
| 4 0 2 | 44.8 | 2.024 | 40 |
| 4 2 2 | 49.3 | 1.848 | 100 |
| 5 3 0 | 59.5 | 1.552 | 21 |
| 6 4 2 | 79.2 | 1.210 | 48 |

Structural model:
```
data_NdGa12Cu7
_chemical_formula_sum 'Nd2 Ga24 Cu14'
_cell_length_a 9.052
_cell_length_b 9.052
_cell_length_c 9.052
_cell_angle_alpha 90.00
_cell_angle_beta 90.00
_cell_angle_gamma 90.00
_space_group_name_H-M_alt 'I m -3'
_space_group_IT_number 204
_space_group_name_Hall '-I 2 2 3'
loop_
_atom_site_label
_atom_site_type_symbol
_atom_site_fract_x
_atom_site_fract_y
_atom_site_fract_z
Nd1 Nd 0.000 0.000 0.000
Ga1 Ga 0.000 0.341 0.227
Cu1 Cu 0.000 0.000 0.500
Cu2 Cu 0.250 0.250 0.250
```



No. 9
Diffraction record for Nd2Ga5Cu3. The XRD peak list is calculated, not measured: it uses a DFT-relaxed cell (PBE, Alexandria) and Cu Kα, 1.54184 Å.

Most intense lines, 15° ≤ 2θ ≤ 90°, sorted by position:
| hkl | Position (°2θ) | d [Å] | intensity |
| --- | --- | --- | --- |
| 0 0 2 | 29.8 | 3.000 | 17 |
| 3 2 -1 | 33.8 | 2.655 | 59 |
| 2 0 2 | 34.7 | 2.587 | 100 |
| 0 4 2 | 42.6 | 2.121 | 56 |
| 5 2 1 | 49.5 | 1.840 | 25 |
| 3 2 3 | 55.4 | 1.657 | 27 |
| 0 0 4 | 61.9 | 1.499 | 9 |
| 6 0 2 | 62.8 | 1.480 | 11 |
| 5 2 -3 | 67.4 | 1.390 | 18 |
| 2 4 4 | 72.9 | 1.298 | 21 |

Structural model:
```
data_Nd2Ga5Cu3
_chemical_formula_sum 'Nd8 Ga20 Cu12'
_cell_length_a 10.213
_cell_length_b 12.012
_cell_length_c 5.994
_cell_angle_alpha 90.00
_cell_angle_beta 90.00
_cell_angle_gamma 90.00
_space_group_name_H-M_alt 'I b a m'
_space_group_IT_number 72
_space_group_name_Hall '-I 2 2c'
loop_
_atom_site_label
_atom_site_type_symbol
_atom_site_fract_x
_atom_site_fract_y
_atom_site_fract_z
Nd1 Nd 0.240 0.129 0.000
Ga1 Ga 0.000 0.000 0.250
Ga2 Ga 0.000 0.263 0.250
Ga3 Ga 0.148 0.389 0.000
Cu1 Cu 0.000 0.500 0.250
Cu2 Cu 0.117 0.131 0.500
```



No. 10
Diffraction record for Nd2GaCu. The XRD peak list is calculated, not measured: it uses a DFT-relaxed cell (PBE, Alexandria) and Cu Kα, 1.54184 Å.

Most intense lines, 15° ≤ 2θ ≤ 90°, sorted by position:
| hkl | Position (°2θ) | d [Å] | intensity |
| --- | --- | --- | --- |
| 1 1 0 | 25.2 | 3.530 | 60 |
| 0 1 2 | 31.1 | 2.876 | 77 |
| 2 0 0 | 31.3 | 2.860 | 42 |
| 1 0 2 | 31.8 | 2.818 | 49 |
| 1 1 -2 | 31.9 | 2.803 | 100 |
| 2 0 -2 | 34.2 | 2.625 | 40 |
| 2 1 0 | 37.3 | 2.412 | 52 |
| 1 1 2 | 37.7 | 2.386 | 51 |
| 0 2 0 | 40.2 | 2.243 | 54 |
| 1 2 2 | 52.1 | 1.755 | 46 |

Structural model:
```
data_Nd2GaCu
_chemical_formula_sum 'Nd4 Ga2 Cu2'
_cell_length_a 5.923
_cell_length_b 4.486
_cell_length_c 7.760
_cell_angle_alpha 90.00
_cell_angle_beta 105.00
_cell_angle_gamma 90.00
_space_group_name_H-M_alt 'P 1 21/m 1'
_space_group_IT_number 11
loop_
_space_group_symop_operation_xyz
'x,y,z'
'-x,-y,-z'
'-x,y+1/2,-z'
'x,-y+1/2,z'
loop_
_atom_site_label
_atom_site_type_symbol
_atom_site_fract_x
_atom_site_fract_y
_atom_site_fract_z
Nd1 Nd 0.206 0.250 0.448
Nd2 Nd 0.215 0.250 0.922
Ga1 Ga 0.339 0.750 0.224
Cu1 Cu 0.393 0.750 0.718
```



No. 11
Diffraction record for NdGa2Cu5. The XRD peak list is calculated, not measured: it uses a DFT-relaxed cell (PBE, Alexandria) and Cu Kα, 1.54184 Å.

Most intense lines, 15° ≤ 2θ ≤ 90°, sorted by position:
| hkl | Position (°2θ) | d [Å] | intensity |
| --- | --- | --- | --- |
| 0 2 0 | 26.0 | 3.422 | 9 |
| 0 1 3 | 30.7 | 2.908 | 10 |
| 1 1 2 | 32.2 | 2.778 | 29 |
| 1 0 3 | 36.1 | 2.487 | 100 |
| 0 3 1 | 40.6 | 2.220 | 11 |
| 0 2 4 | 46.1 | 1.970 | 48 |
| 2 0 0 | 46.4 | 1.958 | 24 |
| 1 3 2 | 50.0 | 1.825 | 12 |
| 1 0 5 | 52.9 | 1.730 | 9 |
| 2 2 4 | 67.4 | 1.389 | 21 |

Structural model:
```
data_NdGa2Cu5
_chemical_formula_sum 'Nd2 Ga4 Cu10'
_cell_length_a 3.917
_cell_length_b 6.844
_cell_length_c 9.638
_cell_angle_alpha 90.00
_cell_angle_beta 90.00
_cell_angle_gamma 90.00
_space_group_name_H-M_alt 'I m m m'
_space_group_IT_number 71
_space_group_name_Hall '-I 2 2'
loop_
_atom_site_label
_atom_site_type_symbol
_atom_site_fract_x
_atom_site_fract_y
_atom_site_fract_z
Nd1 Nd 0.000 0.000 0.000
Ga1 Ga 0.000 0.500 0.251
Cu1 Cu 0.000 0.181 0.367
Cu2 Cu 0.000 0.500 0.000
```



No. 12
Diffraction record for Nd2Ga6Cu3. The XRD peak list is calculated, not measured: it uses a DFT-relaxed cell (PBE, Alexandria) and Cu Kα, 1.54184 Å.

Most intense lines, 15° ≤ 2θ ≤ 90°, sorted by position:
| hkl | Position (°2θ) | d [Å] | intensity |
| --- | --- | --- | --- |
| 1 1 1 | 32.0 | 2.793 | 100 |
| 2 0 1 | 34.9 | 2.574 | 13 |
| 2 1 0 | 35.9 | 2.503 | 19 |
| 3 0 0 | 40.9 | 2.208 | 40 |
| 2 1 1 | 42.3 | 2.135 | 41 |
| 0 0 2 | 44.3 | 2.045 | 23 |
| 2 2 1 | 52.9 | 1.732 | 16 |
| 2 1 2 | 58.3 | 1.584 | 9 |
| 3 0 2 | 61.8 | 1.500 | 23 |
| 4 1 1 | 68.9 | 1.363 | 28 |

Structural model:
```
data_Nd2Ga6Cu3
_chemical_formula_sum 'Nd2 Ga6 Cu3'
_cell_length_a 7.6479
_cell_length_b 7.6479
_cell_length_c 4.0892
_cell_angle_alpha 90.00
_cell_angle_beta 90.00
_cell_angle_gamma 120.00
_space_group_name_H-M_alt 'P -6 2 m'
_space_group_IT_number 189
_space_group_name_Hall 'P -6 -2'
loop_
_atom_site_label
_atom_site_type_symbol
_atom_site_fract_x
_atom_site_fract_y
_atom_site_fract_z
Nd1 Nd 0.3333 0.6667 0.0000
Ga1 Ga 0.0000 0.1938 0.0000
Ga2 Ga 0.0000 0.6850 0.5000
Cu1 Cu 0.0000 0.3625 0.5000
```